[1]
Structure and simulated PXRD pattern of Tb6InRh5 (a cell relaxed with PBE; λ = 1.5418 Å (Cu Kα)).
Peak positions follow from Bragg's law for the DFT cell and can differ from measured ones.

Cell and atoms:
```
data_Tb6InRh5
_space_group_name_H-M_alt 'I m m m'
_space_group_IT_number 71
_space_group_name_Hall '-I 2 2'
_cell_length_a 4.883
_cell_length_b 7.170
_cell_length_c 14.681
_cell_angle_alpha 90.00
_cell_angle_beta 90.00
_cell_angle_gamma 90.00
loop_
_atom_site_label
_atom_site_type_symbol
_atom_site_fract_x
_atom_site_fract_y
_atom_site_fract_z
Tb1 Tb 0.000 0.231 0.000
Tb2 Tb 0.000 0.259 0.328
In1 In 0.000 0.000 0.500
Rh1 Rh 0.000 0.000 0.169
Rh2 Rh 0.000 0.500 0.161
Rh3 Rh 0.000 0.500 0.500
```

The 10 most intense peaks (15 to 90 degrees two-theta), sorted by position:
| d_spacing | 2theta | I (rel.) |
| --- | --- | --- |
| 2.488 | 36.10 | 1000 |
| 2.444 | 36.77 | 480 |
| 1.792 | 50.95 | 89 |
| 1.728 | 52.98 | 165 |
| 1.445 | 64.46 | 172 |
| 1.421 | 65.73 | 163 |
| 1.418 | 65.85 | 171 |
| 1.244 | 76.58 | 103 |
| 1.129 | 86.09 | 73 |
| 1.097 | 89.31 | 74 |



[2]
Structure and simulated PXRD pattern of Pm4PtSe3 (a cell relaxed with PBE; λ = 1.5418 Å (Cu Kα)).
Peak positions follow from Bragg's law for the DFT cell and can differ from measured ones.

Cell and atoms:
```
data_Pm4PtSe3
_space_group_name_H-M_alt 'C m m m'
_space_group_IT_number 65
_space_group_name_Hall '-C 2 2'
_cell_length_a 8.526
_cell_length_b 11.987
_cell_length_c 4.140
_cell_angle_alpha 90.00
_cell_angle_beta 90.00
_cell_angle_gamma 90.00
loop_
_atom_site_label
_atom_site_type_symbol
_atom_site_fract_x
_atom_site_fract_y
_atom_site_fract_z
Pm1 Pm 0.000 0.248 0.000
Pm2 Pm 0.237 0.000 0.500
Pt1 Pt 0.000 0.000 0.000
Se1 Se 0.000 0.500 0.000
Se2 Se 0.250 0.250 0.500
```

The 10 most intense peaks (15 to 90 degrees two-theta), sorted by position:
| d_spacing | 2theta | I (rel.) |
| --- | --- | --- |
| 2.997 | 29.81 | 516 |
| 2.970 | 30.09 | 1000 |
| 2.131 | 42.41 | 191 |
| 2.109 | 42.87 | 760 |
| 2.070 | 43.73 | 181 |
| 1.737 | 52.70 | 203 |
| 1.703 | 53.82 | 197 |
| 1.338 | 70.38 | 174 |
| 1.331 | 70.81 | 167 |
| 1.226 | 77.91 | 188 |



[3]
Structure and simulated PXRD pattern of InPt2Pb (a cell relaxed with PBE; λ = 1.5418 Å (Cu Kα)).
Peak positions follow from Bragg's law for the DFT cell and can differ from measured ones.

Cell and atoms:
```
data_InPt2Pb
_space_group_name_H-M_alt 'P b c m'
_space_group_IT_number 57
_cell_length_a 8.624
_cell_length_b 7.292
_cell_length_c 5.568
_cell_angle_alpha 90.00
_cell_angle_beta 90.00
_cell_angle_gamma 90.00
loop_
_space_group_symop_operation_xyz
'x,y,z'
'-x,-y,-z'
'-x,-y,z+1/2'
'x,y,-z+1/2'
'x,-y+1/2,-z'
'-x,y+1/2,z'
'-x,y+1/2,-z+1/2'
'x,-y+1/2,z+1/2'
loop_
_atom_site_label
_atom_site_type_symbol
_atom_site_fract_x
_atom_site_fract_y
_atom_site_fract_z
In1 In 0.123 0.085 0.250
Pt1 Pt 0.117 0.750 0.000
Pt2 Pt 0.367 0.250 0.000
Pb1 Pb 0.372 0.588 0.250
```

The 10 most intense peaks (15 to 90 degrees two-theta), sorted by position:
| d_spacing | 2theta | I (rel.) |
| --- | --- | --- |
| 3.711 | 23.98 | 296 |
| 3.088 | 28.91 | 615 |
| 3.050 | 29.28 | 322 |
| 2.227 | 40.51 | 1000 |
| 2.213 | 40.78 | 460 |
| 2.156 | 41.90 | 367 |
| 2.117 | 42.70 | 707 |
| 1.544 | 59.90 | 301 |
| 1.237 | 77.08 | 255 |
| 1.163 | 83.03 | 213 |



[4]
Structure and simulated PXRD pattern of LaNd2Dy2Ho (a cell relaxed with PBE; λ = 1.5418 Å (Cu Kα)).
Peak positions follow from Bragg's law for the DFT cell and can differ from measured ones.

Cell and atoms:
```
data_LaNd2Dy2Ho
_space_group_name_H-M_alt 'P n n m'
_space_group_IT_number 58
_cell_length_a 7.074
_cell_length_b 9.942
_cell_length_c 5.702
_cell_angle_alpha 90.00
_cell_angle_beta 90.00
_cell_angle_gamma 90.00
loop_
_space_group_symop_operation_xyz
'x,y,z'
'-x,-y,-z'
'-x,-y,z'
'x,y,-z'
'x+1/2,-y+1/2,-z+1/2'
'-x+1/2,y+1/2,z+1/2'
'-x+1/2,y+1/2,-z+1/2'
'x+1/2,-y+1/2,z+1/2'
loop_
_atom_site_label
_atom_site_type_symbol
_atom_site_fract_x
_atom_site_fract_y
_atom_site_fract_z
La1 La 0.000 0.000 0.000
Nd1 Nd 0.247 0.333 0.000
Dy1 Dy 0.249 0.666 0.000
Ho1 Ho 0.000 0.500 0.500
```

The 10 most intense peaks (15 to 90 degrees two-theta), sorted by position:
| d_spacing | 2theta | I (rel.) |
| --- | --- | --- |
| 2.879 | 31.07 | 1000 |
| 2.865 | 31.22 | 745 |
| 2.851 | 31.38 | 368 |
| 2.034 | 44.56 | 124 |
| 2.027 | 44.71 | 246 |
| 1.658 | 55.42 | 204 |
| 1.656 | 55.51 | 129 |
| 1.650 | 55.72 | 273 |
| 1.504 | 61.66 | 320 |
| 1.206 | 79.48 | 103 |



[5]
Structure and simulated PXRD pattern of Pm8Y2Tm3 (a cell relaxed with PBE; λ = 1.5418 Å (Cu Kα)).
Peak positions follow from Bragg's law for the DFT cell and can differ from measured ones.

Cell and atoms:
```
data_Pm8Y2Tm3
_space_group_name_H-M_alt 'P -1'
_space_group_IT_number 2
_cell_length_a 6.235
_cell_length_b 6.245
_cell_length_c 11.389
_cell_angle_alpha 89.80
_cell_angle_beta 79.34
_cell_angle_gamma 80.34
loop_
_space_group_symop_operation_xyz
'x,y,z'
'-x,-y,-z'
loop_
_atom_site_label
_atom_site_type_symbol
_atom_site_fract_x
_atom_site_fract_y
_atom_site_fract_z
Pm1 Pm 0.038 0.077 0.347
Pm2 Pm 0.193 0.384 0.732
Pm3 Pm 0.345 0.692 0.114
Pm4 Pm 0.423 0.848 0.808
Y1 Y 0.270 0.539 0.423
Tm1 Tm 0.114 0.231 0.039
Tm2 Tm 0.500 0.000 0.500
```

The 10 most intense peaks (15 to 90 degrees two-theta), sorted by position:
| d_spacing | 2theta | I (rel.) |
| --- | --- | --- |
| 2.941 | 30.40 | 1000 |
| 2.547 | 35.24 | 507 |
| 1.802 | 50.64 | 181 |
| 1.799 | 50.75 | 180 |
| 1.539 | 60.13 | 72 |
| 1.536 | 60.27 | 250 |
| 1.534 | 60.36 | 107 |
| 1.472 | 63.17 | 62 |
| 1.469 | 63.32 | 62 |
| 1.139 | 85.23 | 68 |



[6]
Structure and simulated PXRD pattern of La6PmY2Tm (a cell relaxed with PBE; λ = 1.5418 Å (Cu Kα)).
Peak positions follow from Bragg's law for the DFT cell and can differ from measured ones.

Cell and atoms:
```
data_La6PmY2Tm
_space_group_name_H-M_alt 'C 1 2/m 1'
_space_group_IT_number 12
_cell_length_a 11.477
_cell_length_b 7.058
_cell_length_c 9.131
_cell_angle_alpha 90.00
_cell_angle_beta 104.98
_cell_angle_gamma 90.00
loop_
_space_group_symop_operation_xyz
'x,y,z'
'-x,-y,-z'
'-x,y,-z'
'x,-y,z'
'x+1/2,y+1/2,z'
'-x+1/2,-y+1/2,-z'
'-x+1/2,y+1/2,-z'
'x+1/2,-y+1/2,z'
loop_
_atom_site_label
_atom_site_type_symbol
_atom_site_fract_x
_atom_site_fract_y
_atom_site_fract_z
La1 La 0.134 0.000 0.429
La2 La 0.187 0.278 0.808
Pm1 Pm 0.000 0.500 0.500
Y1 Y 0.083 0.500 0.167
Tm1 Tm 0.000 0.000 0.000
```

The 10 most intense peaks (15 to 90 degrees two-theta), sorted by position:
| d_spacing | 2theta | I (rel.) |
| --- | --- | --- |
| 3.329 | 26.78 | 534 |
| 3.085 | 28.95 | 464 |
| 2.976 | 30.02 | 868 |
| 2.945 | 30.35 | 1000 |
| 2.930 | 30.51 | 277 |
| 2.864 | 31.24 | 803 |
| 2.795 | 32.03 | 366 |
| 2.755 | 32.50 | 549 |
| 1.764 | 51.82 | 250 |
| 1.664 | 55.19 | 516 |



[7]
Structure and simulated PXRD pattern of BaSr2PmSe4 (a cell relaxed with PBE; λ = 1.5418 Å (Cu Kα)).
Peak positions follow from Bragg's law for the DFT cell and can differ from measured ones.

Cell and atoms:
```
data_BaSr2PmSe4
_space_group_name_H-M_alt 'P 1 2/m 1'
_space_group_IT_number 10
_cell_length_a 7.674
_cell_length_b 4.421
_cell_length_c 7.735
_cell_angle_alpha 90.00
_cell_angle_beta 109.21
_cell_angle_gamma 90.00
loop_
_space_group_symop_operation_xyz
'x,y,z'
'-x,-y,-z'
'-x,y,-z'
'x,-y,z'
loop_
_atom_site_label
_atom_site_type_symbol
_atom_site_fract_x
_atom_site_fract_y
_atom_site_fract_z
Ba1 Ba 0.000 0.000 0.000
Sr1 Sr 0.500 0.000 0.500
Sr2 Sr 0.500 0.500 0.000
Pm1 Pm 0.000 0.500 0.500
Se1 Se 0.244 0.000 0.734
Se2 Se 0.253 0.500 0.268
```

The 10 most intense peaks (15 to 90 degrees two-theta), sorted by position:
| d_spacing | 2theta | I (rel.) |
| --- | --- | --- |
| 3.141 | 28.42 | 1000 |
| 2.229 | 40.48 | 371 |
| 2.213 | 40.78 | 376 |
| 1.826 | 49.94 | 64 |
| 1.812 | 50.37 | 67 |
| 1.808 | 50.49 | 133 |
| 1.570 | 58.81 | 122 |
| 1.408 | 66.41 | 108 |
| 1.401 | 66.76 | 114 |
| 1.280 | 74.10 | 104 |



[8]
Structure and simulated PXRD pattern of Tb2NbAl2Ru5 (a cell relaxed with PBE; λ = 1.5418 Å (Cu Kα)).
Peak positions follow from Bragg's law for the DFT cell and can differ from measured ones.

Cell and atoms:
```
data_Tb2NbAl2Ru5
_space_group_name_H-M_alt 'P 4/m b m'
_space_group_IT_number 127
_space_group_name_Hall '-P 4 2ab'
_cell_length_a 10.142
_cell_length_b 10.142
_cell_length_c 3.306
_cell_angle_alpha 90.00
_cell_angle_beta 90.00
_cell_angle_gamma 90.00
loop_
_atom_site_label
_atom_site_type_symbol
_atom_site_fract_x
_atom_site_fract_y
_atom_site_fract_z
Tb1 Tb 0.172 0.328 0.000
Nb1 Nb 0.000 0.000 0.000
Al1 Al 0.126 0.626 0.000
Ru1 Ru 0.000 0.500 0.500
Ru2 Ru 0.067 0.801 0.500
```

The 10 most intense peaks (15 to 90 degrees two-theta), sorted by position:
| d_spacing | 2theta | I (rel.) |
| --- | --- | --- |
| 2.671 | 33.55 | 493 |
| 2.460 | 36.53 | 663 |
| 2.430 | 36.99 | 222 |
| 2.391 | 37.63 | 222 |
| 2.302 | 39.13 | 1000 |
| 2.268 | 39.75 | 196 |
| 2.142 | 42.18 | 225 |
| 1.653 | 55.60 | 166 |
| 1.428 | 65.33 | 130 |
| 1.372 | 68.38 | 208 |